This entry pairs a crystal structure of TiVFeTc with its simulated powder X-ray diffraction pattern. Radiation: Cu Kα (λ = 1.5418 Å). Structure: a cell relaxed with GGA-PBE.
Lines closer than 0.1° are merged.

Structure:
a = 3.0050 Å, b = 4.2010 Å, c = 4.2488 Å
α = 90.00°, β = 90.00°, γ = 90.00°
Fractional positions:
Ti: 0.0000 0.0000 0.0000
V: 0.0000 0.5000 0.5000
Fe: 0.5000 0.5000 0.0000
Tc: 0.5000 0.0000 0.5000

Main lines, in order of rising 2θ (2θ from 5° to 70°):
two_theta, Rel. int.
20.9, 5
29.7, 4
29.9, 8
42.6, 25
42.7, 100
43.1, 24
61.7, 8
62.1, 15

***

This entry pairs a crystal structure of SmDy4Ag with its simulated powder X-ray diffraction pattern. Radiation: Cu Kα (λ = 1.5418 Å). Structure: a cell relaxed with GGA-PBE.
Lines closer than 0.1° are merged.

Structure:
a = 3.5679 Å, b = 3.5679 Å, c = 13.9104 Å
α = 90.00°, β = 90.00°, γ = 90.00°
Fractional positions:
Sm: 0.0000 0.0000 0.0000
Dy: 0.0000 0.0000 0.3635
Dy: 0.0000 0.0000 0.6365
Dy: 0.5000 0.5000 0.1819
Dy: 0.5000 0.5000 0.8181
Ag: 0.5000 0.5000 0.5000

Main lines, in order of rising 2θ (2θ from 5° to 70°):
two_theta, Rel. int.
31.6, 100
35.6, 42
38.8, 9
48.7, 8
51.2, 15
53.7, 14
59.1, 12
61.5, 30

***

This entry pairs a crystal structure of PF5 with its simulated powder X-ray diffraction pattern. Radiation: Cu Kα (λ = 1.5418 Å). Structure: a cell relaxed with GGA-PBE.
Lines closer than 0.1° are merged.

Structure:
a = 5.6958 Å, b = 5.6958 Å, c = 6.3762 Å
α = 90.00°, β = 90.00°, γ = 120.00°
Fractional positions:
P: 0.3333 0.6667 0.2500
P: 0.6667 0.3333 0.7500
F: 0.1753 0.3506 0.2500
F: 0.1753 0.8247 0.2500
F: 0.3333 0.6667 0.5028
F: 0.3333 0.6667 0.9972
F: 0.3506 0.1753 0.7500
F: 0.6494 0.8247 0.2500
F: 0.6667 0.3333 0.0028
F: 0.6667 0.3333 0.4972
F: 0.8247 0.1753 0.7500
F: 0.8247 0.6494 0.7500

Main lines, in order of rising 2θ (2θ from 5° to 70°):
two_theta, Rel. int.
18.0, 37
22.8, 100
28.0, 12
31.4, 26
36.4, 26
46.5, 16
51.0, 13
65.6, 13

***

This entry pairs a crystal structure of MgSi3Ir2 with its simulated powder X-ray diffraction pattern. Radiation: Cu Kα (λ = 1.5418 Å). Structure: a cell relaxed with GGA-PBE.
Lines closer than 0.1° are merged.

Structure:
a = 8.1849 Å, b = 8.1849 Å, c = 10.5392 Å
α = 111.93°, β = 111.93°, γ = 25.88°
Fractional positions:
Mg: 0.0000 0.0000 0.0000
Mg: 0.1586 0.1586 0.6924
Mg: 0.8414 0.8414 0.3076
Si: 0.0179 0.0179 0.3417
Si: 0.2179 0.2179 0.3854
Si: 0.3132 0.3132 0.0282
Si: 0.3784 0.3784 0.8023
Si: 0.5000 0.5000 0.5000
Si: 0.6216 0.6216 0.1977
Si: 0.6868 0.6868 0.9718
Si: 0.7821 0.7821 0.6146
Si: 0.9821 0.9821 0.6583
Ir: 0.2011 0.2011 0.1430
Ir: 0.3673 0.3673 0.5581
Ir: 0.4677 0.4677 0.1905
Ir: 0.5323 0.5323 0.8095
Ir: 0.6327 0.6327 0.4419
Ir: 0.7989 0.7989 0.8570

Main lines, in order of rising 2θ (2θ from 5° to 70°):
two_theta, Rel. int.
24.1, 93
25.0, 54
27.5, 49
29.0, 75
29.7, 100
31.8, 50
39.3, 52
45.5, 57

***

This entry pairs a crystal structure of Tm4CSe with its simulated powder X-ray diffraction pattern. Radiation: Cu Kα (λ = 1.5418 Å). Structure: a cell relaxed with GGA-PBE.
Lines closer than 0.1° are merged.

Structure:
a = 6.9833 Å, b = 6.9833 Å, c = 6.7079 Å
α = 115.20°, β = 115.20°, γ = 30.37°
Fractional positions:
Tm: 0.1147 0.1147 0.2382
Tm: 0.3738 0.3738 0.1743
Tm: 0.6262 0.6262 0.8257
Tm: 0.8853 0.8853 0.7618
C: 0.5000 0.5000 0.0000
Se: 0.0000 0.0000 0.5000

Main lines, in order of rising 2θ (2θ from 5° to 70°):
two_theta, Rel. int.
29.5, 49
29.7, 28
31.1, 100
31.3, 51
32.0, 60
40.4, 30
47.7, 30
54.5, 28

***

This entry pairs a crystal structure of CaRhO3 with its simulated powder X-ray diffraction pattern. Radiation: Cu Kα (λ = 1.5418 Å). Structure: a cell relaxed with GGA-PBE.
Lines closer than 0.1° are merged.

Structure:
a = 5.5204 Å, b = 5.5204 Å, c = 9.5543 Å
α = 106.43°, β = 106.43°, γ = 59.83°
Fractional positions:
Ca: 0.0994 0.6285 0.8642
Ca: 0.3715 0.9006 0.6358
Ca: 0.6285 0.0994 0.3642
Ca: 0.9006 0.3715 0.1358
Rh: 0.0000 0.5000 0.5000
Rh: 0.2545 0.7455 0.2500
Rh: 0.5000 0.0000 0.0000
Rh: 0.7455 0.2545 0.7500
O: 0.1510 0.1700 0.8474
O: 0.1700 0.1510 0.3474
O: 0.1763 0.6851 0.4309
O: 0.3149 0.8237 0.0691
O: 0.3366 0.3546 0.6618
O: 0.3546 0.3366 0.1618
O: 0.6454 0.6634 0.8382
O: 0.6634 0.6454 0.3382
O: 0.6851 0.1763 0.9309
O: 0.8237 0.3149 0.5691
O: 0.8300 0.8490 0.6526
O: 0.8490 0.8300 0.1526

Main lines, in order of rising 2θ (2θ from 5° to 70°):
two_theta, Rel. int.
22.8, 46
32.3, 15
32.5, 100
46.5, 25
57.7, 19
58.0, 19
58.0, 11
68.0, 10